(1)
Diffraction record for CsIn2ClF2. The powder XRD pattern is computed, not measured: it uses a DFT-relaxed cell (GGA-PBE, Alexandria) and Cu Kα (λ = 1.5418 Å).

Crystal structure
```
data_CsIn2ClF2
_chemical_formula_sum 'Cs2 In4 Cl2 F4'
_cell_length_a 7.3624
_cell_length_b 6.5225
_cell_length_c 8.3563
_cell_angle_alpha 90.00
_cell_angle_beta 97.96
_cell_angle_gamma 90.00
_space_group_name_H-M_alt 'P 1 21/m 1'
_space_group_IT_number 11
_space_group_name_Hall '-P 2yb'
loop_
_atom_site_label
_atom_site_type_symbol
_atom_site_fract_x
_atom_site_fract_y
_atom_site_fract_z
_atom_site_occupancy
Cs1 Cs 0.2218 0.2500 0.4291 1
In1 In 0.2430 0.5026 0.9343 1
Cl1 Cl 0.3056 0.7500 0.6396 1
F1 F 0.0094 0.2500 0.0984 1
F2 F 0.1214 0.2500 0.7533 1
```

Largest 10 diffraction maxima, in order of rising 2θ, 2θ from 10° to 80°:
8.276 Å, intensity 36, (0 0 1); 4.138 Å, intensity 46, (0 0 2); 3.834 Å, intensity 39, (1 0 -2); 3.646 Å, intensity 92, (2 0 0); 3.402 Å, intensity 37, (1 0 2); 3.034 Å, intensity 100, (0 2 1); 2.945 Å, intensity 35, (2 0 -2); 2.392 Å, intensity 75, (2 2 -1); 2.276 Å, intensity 47, (2 2 1); 1.969 Å, intensity 39, (1 2 3)

***

(2)
Diffraction record for SmEr4Pd5. The powder XRD pattern is computed, not measured: it uses a DFT-relaxed cell (GGA-PBE, Alexandria) and Cu Kα (λ = 1.5418 Å).

Crystal structure
```
data_SmEr4Pd5
_chemical_formula_sum 'Sm1 Er4 Pd5'
_cell_length_a 3.4609
_cell_length_b 3.4609
_cell_length_c 17.8541
_cell_angle_alpha 90.00
_cell_angle_beta 90.00
_cell_angle_gamma 90.00
_space_group_name_H-M_alt 'P 4/m m m'
_space_group_IT_number 123
_space_group_name_Hall '-P 4 2'
loop_
_atom_site_label
_atom_site_type_symbol
_atom_site_fract_x
_atom_site_fract_y
_atom_site_fract_z
_atom_site_occupancy
Sm1 Sm 0.0000 0.0000 0.0000 1
Er1 Er 0.0000 0.0000 0.2041 1
Er2 Er 0.0000 0.0000 0.4015 1
Pd1 Pd 0.5000 0.5000 0.1092 1
Pd2 Pd 0.5000 0.5000 0.3028 1
Pd3 Pd 0.5000 0.5000 0.5000 1
```

Largest 10 diffraction maxima, in order of rising 2θ, 2θ from 10° to 80°:
3.571 Å, intensity 3, (0 0 5); 3.461 Å, intensity 5, (1 0 0); 2.485 Å, intensity 100, (1 0 5); 2.447 Å, intensity 49, (1 1 0); 1.785 Å, intensity 9, (0 0 10); 1.730 Å, intensity 17, (2 0 0); 1.442 Å, intensity 17, (1 1 10); 1.420 Å, intensity 35, (2 1 5); 1.243 Å, intensity 10, (2 0 10); 1.224 Å, intensity 5, (2 2 0)

***

(3)
Diffraction record for Zn17In2. The powder XRD pattern is computed, not measured: it uses a DFT-relaxed cell (GGA-PBE, Alexandria) and Cu Kα (λ = 1.5418 Å).

Crystal structure
```
data_Zn17In2
_chemical_formula_sum 'Zn51 In6'
_cell_length_a 9.4208
_cell_length_b 9.4208
_cell_length_c 12.5711
_cell_angle_alpha 90.00
_cell_angle_beta 90.00
_cell_angle_gamma 120.00
_space_group_name_H-M_alt 'R -3 m'
_space_group_IT_number 166
_space_group_name_Hall '-R 3 2"'
loop_
_atom_site_label
_atom_site_type_symbol
_atom_site_fract_x
_atom_site_fract_y
_atom_site_fract_z
_atom_site_occupancy
Zn1 Zn 0.0000 0.0000 0.1105 1
Zn2 Zn 0.0000 0.2872 0.0000 1
Zn3 Zn 0.0000 0.5000 0.5000 1
Zn4 Zn 0.0052 0.5026 0.1435 1
In1 In 0.0000 0.0000 0.3530 1
```

Largest 10 diffraction maxima, in order of rising 2θ, 2θ from 10° to 80°:
2.720 Å, intensity 43, (3 0 0); 2.490 Å, intensity 53, (0 2 4); 2.355 Å, intensity 86, (2 2 0); 2.281 Å, intensity 100, (0 3 3); 2.201 Å, intensity 24, (2 1 4); 2.140 Å, intensity 25, (2 0 5); 2.095 Å, intensity 29, (0 0 6); 2.053 Å, intensity 62, (2 2 3); 1.360 Å, intensity 24, (6 0 0); 1.245 Å, intensity 14, (0 4 8)

***

(4)
Diffraction record for Ac2Pr2Er3. The powder XRD pattern is computed, not measured: it uses a DFT-relaxed cell (GGA-PBE, Alexandria) and Cu Kα (λ = 1.5418 Å).

Crystal structure
```
data_Ac2Pr2Er3
_chemical_formula_sum 'Ac4 Pr4 Er6'
_cell_length_a 6.5533
_cell_length_b 13.1513
_cell_length_c 7.1115
_cell_angle_alpha 90.00
_cell_angle_beta 122.61
_cell_angle_gamma 90.00
_space_group_name_H-M_alt 'P 1 21/c 1'
_space_group_IT_number 14
_space_group_name_Hall '-P 2ybc'
loop_
_atom_site_label
_atom_site_type_symbol
_atom_site_fract_x
_atom_site_fract_y
_atom_site_fract_z
_atom_site_occupancy
Ac1 Ac 0.1010 0.1177 0.1681 1
Pr1 Pr 0.0802 0.6125 0.9259 1
Er1 Er 0.4783 0.7157 0.8098 1
Er2 Er 0.5000 0.0000 0.0000 1
```

Largest 10 diffraction maxima, in order of rising 2θ, 2θ from 10° to 80°:
3.534 Å, intensity 45, (1 3 -1); 3.172 Å, intensity 49, (2 1 -1); 2.928 Å, intensity 67, (1 2 1); 2.921 Å, intensity 46, (0 1 2); 2.909 Å, intensity 52, (2 1 -2); 2.825 Å, intensity 100, (1 4 0); 2.761 Å, intensity 94, (1 3 -2); 2.058 Å, intensity 18, (0 6 1); 1.590 Å, intensity 24, (0 5 3); 1.520 Å, intensity 21, (3 6 -1)

***

(5)
Diffraction record for Rb2Sb2Te5. The powder XRD pattern is computed, not measured: it uses a DFT-relaxed cell (GGA-PBE, Alexandria) and Cu Kα (λ = 1.5418 Å).

Crystal structure
```
data_Rb2Sb2Te5
_chemical_formula_sum 'Rb2 Sb2 Te5'
_cell_length_a 6.1619
_cell_length_b 8.3926
_cell_length_c 8.9659
_cell_angle_alpha 112.13
_cell_angle_beta 108.27
_cell_angle_gamma 90.34
_space_group_name_H-M_alt 'P -1'
_space_group_IT_number 2
_space_group_name_Hall '-P 1'
loop_
_atom_site_label
_atom_site_type_symbol
_atom_site_fract_x
_atom_site_fract_y
_atom_site_fract_z
_atom_site_occupancy
Rb1 Rb 0.0564 0.3175 0.1223 1
Sb1 Sb 0.3598 0.1618 0.6798 1
Te1 Te 0.2025 0.8051 0.3738 1
Te2 Te 0.4172 0.9018 0.8169 1
Te3 Te 0.5000 0.5000 0.0000 1
```

Largest 10 diffraction maxima, in order of rising 2θ, 2θ from 10° to 80°:
7.697 Å, intensity 38, (0 1 0); 7.068 Å, intensity 67, (0 1 -1); 5.793 Å, intensity 28, (1 0 0); 3.534 Å, intensity 34, (0 2 -2); 3.436 Å, intensity 51, (1 2 -1); 3.079 Å, intensity 96, (2 0 -1); 3.028 Å, intensity 100, (0 1 2); 2.802 Å, intensity 28, (1 -2 2); 2.190 Å, intensity 32, (2 1 1); 2.130 Å, intensity 39, (-2 1 3)

***

(6)
Diffraction record for Ta6MnC3S6. The powder XRD pattern is computed, not measured: it uses a DFT-relaxed cell (GGA-PBE, Alexandria) and Cu Kα (λ = 1.5418 Å).

Crystal structure
```
data_Ta6MnC3S6
_chemical_formula_sum 'Ta12 Mn2 C6 S12'
_cell_length_a 5.7454
_cell_length_b 9.9501
_cell_length_c 9.0276
_cell_angle_alpha 90.00
_cell_angle_beta 102.26
_cell_angle_gamma 90.00
_space_group_name_H-M_alt 'C 1 2/m 1'
_space_group_IT_number 12
_space_group_name_Hall '-C 2y'
loop_
_atom_site_label
_atom_site_type_symbol
_atom_site_fract_x
_atom_site_fract_y
_atom_site_fract_z
_atom_site_occupancy
Ta1 Ta 0.1234 0.0000 0.3712 1
Ta2 Ta 0.1230 0.3335 0.3691 1
Mn1 Mn 0.0000 0.0000 0.0000 1
C1 C 0.0000 0.1678 0.5000 1
C2 C 0.0000 0.5000 0.5000 1
S1 S 0.2250 0.5000 0.1817 1
S2 S 0.2284 0.1678 0.1823 1
```

Largest 10 diffraction maxima, in order of rising 2θ, 2θ from 10° to 80°:
8.822 Å, intensity 100, (0 0 1); 2.856 Å, intensity 33, (1 3 0); 2.635 Å, intensity 30, (1 3 1); 2.525 Å, intensity 33, (2 0 1); 2.287 Å, intensity 24, (2 0 -3); 2.169 Å, intensity 40, (2 0 2); 1.661 Å, intensity 12, (1 3 4); 1.658 Å, intensity 20, (0 6 0); 1.434 Å, intensity 12, (1 3 5); 1.326 Å, intensity 11, (3 3 3)

***

(7)
Diffraction record for La4Te3Ru. The powder XRD pattern is computed, not measured: it uses a DFT-relaxed cell (GGA-PBE, Alexandria) and Cu Kα (λ = 1.5418 Å).

Crystal structure
```
data_La4Te3Ru
_chemical_formula_sum 'La8 Te6 Ru2'
_cell_length_a 8.0570
_cell_length_b 9.0821
_cell_length_c 7.6736
_cell_angle_alpha 90.00
_cell_angle_beta 109.77
_cell_angle_gamma 90.00
_space_group_name_H-M_alt 'P 1 2/c 1'
_space_group_IT_number 13
_space_group_name_Hall '-P 2yc'
loop_
_atom_site_label
_atom_site_type_symbol
_atom_site_fract_x
_atom_site_fract_y
_atom_site_fract_z
_atom_site_occupancy
La1 La 0.2157 0.1091 0.4985 1
La2 La 0.2246 0.3393 0.9664 1
Te1 Te 0.0000 0.3820 0.2500 1
Te2 Te 0.5000 0.1219 0.2500 1
Te3 Te 0.5000 0.3816 0.7500 1
Ru1 Ru 0.0000 0.1279 0.7500 1
```

Largest 10 diffraction maxima, in order of rising 2θ, 2θ from 10° to 80°:
3.207 Å, intensity 100, (2 0 -2); 2.312 Å, intensity 24, (3 2 -1); 2.271 Å, intensity 11, (0 4 0); 2.261 Å, intensity 11, (2 0 2); 2.228 Å, intensity 23, (1 2 -3); 1.896 Å, intensity 6, (4 0 0); 1.854 Å, intensity 11, (2 4 -2); 1.805 Å, intensity 7, (0 0 4); 1.602 Å, intensity 6, (2 4 2); 1.415 Å, intensity 5, (3 2 -5)

***

(8)
Diffraction record for Ta6Nb. The powder XRD pattern is computed, not measured: it uses a DFT-relaxed cell (GGA-PBE, Alexandria) and Cu Kα (λ = 1.5418 Å).

Crystal structure
```
data_Ta6Nb
_chemical_formula_sum 'Ta18 Nb3'
_cell_length_a 12.4681
_cell_length_b 12.4681
_cell_length_c 2.8493
_cell_angle_alpha 90.00
_cell_angle_beta 90.00
_cell_angle_gamma 120.00
_space_group_name_H-M_alt 'R -3'
_space_group_IT_number 148
_space_group_name_Hall '-R 3'
loop_
_atom_site_label
_atom_site_type_symbol
_atom_site_fract_x
_atom_site_fract_y
_atom_site_fract_z
_atom_site_occupancy
Ta1 Ta 0.0477 0.8093 0.1733 1
Nb1 Nb 0.0000 0.0000 0.5000 1
```

Largest 10 diffraction maxima, in order of rising 2θ, 2θ from 10° to 80°:
6.234 Å, intensity 5, (1 1 0); 3.599 Å, intensity 1, (3 0 0); 3.117 Å, intensity 1, (2 2 0); 2.520 Å, intensity 1, (0 2 1); 2.356 Å, intensity 100, (4 1 0); 2.336 Å, intensity 98, (3 -1 1); 1.659 Å, intensity 34, (2 4 1); 1.360 Å, intensity 18, (3 6 0); 1.357 Å, intensity 35, (7 0 1); 1.345 Å, intensity 17, (1 2 2)

***

(9)
Diffraction record for ReH3Pb. The powder XRD pattern is computed, not measured: it uses a DFT-relaxed cell (GGA-PBE, Alexandria) and Cu Kα (λ = 1.5418 Å).

Crystal structure
```
data_ReH3Pb
_chemical_formula_sum 'Re1 H3 Pb1'
_cell_length_a 3.7476
_cell_length_b 3.7476
_cell_length_c 3.7476
_cell_angle_alpha 90.00
_cell_angle_beta 90.00
_cell_angle_gamma 90.00
_space_group_name_H-M_alt 'P m -3 m'
_space_group_IT_number 221
_space_group_name_Hall '-P 4 2 3'
loop_
_atom_site_label
_atom_site_type_symbol
_atom_site_fract_x
_atom_site_fract_y
_atom_site_fract_z
_atom_site_occupancy
Re1 Re 0.0000 0.0000 0.0000 1
H1 H 0.0000 0.0000 0.5000 1
Pb1 Pb 0.5000 0.5000 0.5000 1
```

Largest 4 diffraction maxima, in order of rising 2θ, 2θ from 10° to 80°:
2.650 Å, intensity 100, (1 1 0); 1.874 Å, intensity 19, (2 0 0); 1.530 Å, intensity 39, (2 1 1); 1.325 Å, intensity 12, (2 2 0)

***

(10)
Diffraction record for Cs2CaMnBr6. The powder XRD pattern is computed, not measured: it uses a DFT-relaxed cell (GGA-PBE, Alexandria) and Cu Kα (λ = 1.5418 Å).

Crystal structure
```
data_Cs2CaMnBr6
_chemical_formula_sum 'Cs2 Ca1 Mn1 Br6'
_cell_length_a 7.9016
_cell_length_b 7.9016
_cell_length_c 6.9404
_cell_angle_alpha 90.00
_cell_angle_beta 90.00
_cell_angle_gamma 120.00
_space_group_name_H-M_alt 'P -3 m 1'
_space_group_IT_number 164
_space_group_name_Hall '-P 3 2"'
loop_
_atom_site_label
_atom_site_type_symbol
_atom_site_fract_x
_atom_site_fract_y
_atom_site_fract_z
_atom_site_occupancy
Cs1 Cs 0.3333 0.6667 0.2162 1
Ca1 Ca 0.0000 0.0000 0.5000 1
Mn1 Mn 0.0000 0.0000 0.0000 1
Br1 Br 0.1607 0.3213 0.7687 1
```

Largest 10 diffraction maxima, in order of rising 2θ, 2θ from 10° to 80°:
3.951 Å, intensity 9, (1 1 0); 3.470 Å, intensity 21, (0 0 2); 3.422 Å, intensity 13, (2 0 0); 3.069 Å, intensity 100, (0 2 1); 2.436 Å, intensity 31, (2 0 2); 1.975 Å, intensity 24, (2 2 0); 1.916 Å, intensity 22, (0 2 3); 1.717 Å, intensity 16, (2 2 2); 1.661 Å, intensity 15, (4 0 1); 1.271 Å, intensity 13, (2 4 1)

***

(11)
Diffraction record for Pm3ThTe4. The powder XRD pattern is computed, not measured: it uses a DFT-relaxed cell (GGA-PBE, Alexandria) and Cu Kα (λ = 1.5418 Å).

Crystal structure
```
data_Pm3ThTe4
_chemical_formula_sum 'Pm6 Th2 Te8'
_cell_length_a 4.3483
_cell_length_b 4.3483
_cell_length_c 30.7388
_cell_angle_alpha 90.00
_cell_angle_beta 90.00
_cell_angle_gamma 120.00
_space_group_name_H-M_alt 'P 63/m m c'
_space_group_IT_number 194
_space_group_name_Hall '-P 6c 2c'
loop_
_atom_site_label
_atom_site_type_symbol
_atom_site_fract_x
_atom_site_fract_y
_atom_site_fract_z
_atom_site_occupancy
Pm1 Pm 0.0000 0.0000 0.0000 1
Pm2 Pm 0.3333 0.6667 0.1233 1
Th1 Th 0.3333 0.6667 0.7500 1
Te1 Te 0.0000 0.0000 0.1857 1
Te2 Te 0.3333 0.6667 0.5618 1
```

Largest 10 diffraction maxima, in order of rising 2θ, 2θ from 10° to 80°:
3.211 Å, intensity 100, (1 0 5); 3.034 Å, intensity 79, (1 0 6); 2.381 Å, intensity 33, (1 0 10); 2.244 Å, intensity 41, (1 0 11); 2.174 Å, intensity 72, (1 1 0); 1.921 Å, intensity 16, (0 0 16); 1.800 Å, intensity 20, (2 0 5); 1.767 Å, intensity 17, (2 0 6); 1.440 Å, intensity 38, (1 1 16); 1.387 Å, intensity 16, (2 1 5)

***

(12)
Diffraction record for LaAgAu6. The powder XRD pattern is computed, not measured: it uses a DFT-relaxed cell (GGA-PBE, Alexandria) and Cu Kα (λ = 1.5418 Å).

Crystal structure
```
data_LaAgAu6
_chemical_formula_sum 'La1 Ag1 Au6'
_cell_length_a 5.4922
_cell_length_b 5.4922
_cell_length_c 5.4922
_cell_angle_alpha 90.00
_cell_angle_beta 90.00
_cell_angle_gamma 90.00
_space_group_name_H-M_alt 'P m -3'
_space_group_IT_number 200
_space_group_name_Hall '-P 2 2 3'
loop_
_atom_site_label
_atom_site_type_symbol
_atom_site_fract_x
_atom_site_fract_y
_atom_site_fract_z
_atom_site_occupancy
La1 La 0.0000 0.0000 0.0000 1
Ag1 Ag 0.5000 0.5000 0.5000 1
Au1 Au 0.0000 0.2543 0.5000 1
```

Largest 10 diffraction maxima, in order of rising 2θ, 2θ from 10° to 80°:
3.884 Å, intensity 5, (1 1 0); 2.746 Å, intensity 23, (2 0 0); 2.456 Å, intensity 100, (2 1 0); 2.242 Å, intensity 51, (2 1 1); 1.737 Å, intensity 1, (3 1 0); 1.585 Å, intensity 13, (2 2 2); 1.523 Å, intensity 23, (3 0 2); 1.468 Å, intensity 27, (3 2 1); 1.373 Å, intensity 13, (4 0 0); 1.228 Å, intensity 7, (4 2 0)

***

(13)
Diffraction record for La2Tb6Pr. The powder XRD pattern is computed, not measured: it uses a DFT-relaxed cell (GGA-PBE, Alexandria) and Cu Kα (λ = 1.5418 Å).

Crystal structure
```
data_La2Tb6Pr
_chemical_formula_sum 'La4 Tb12 Pr2'
_cell_length_a 17.2402
_cell_length_b 9.9425
_cell_length_c 3.5288
_cell_angle_alpha 90.00
_cell_angle_beta 90.05
_cell_angle_gamma 90.00
_space_group_name_H-M_alt 'C 1 2/m 1'
_space_group_IT_number 12
_space_group_name_Hall '-C 2y'
loop_
_atom_site_label
_atom_site_type_symbol
_atom_site_fract_x
_atom_site_fract_y
_atom_site_fract_z
_atom_site_occupancy
La1 La 0.1667 0.0000 0.9997 1
Tb1 Tb 0.0000 0.1674 0.5000 1
Tb2 Tb 0.1663 0.3336 0.4995 1
Pr1 Pr 0.0000 0.5000 0.0000 1
```

Largest 10 diffraction maxima, in order of rising 2θ, 2θ from 10° to 80°:
3.529 Å, intensity 5, (0 0 1); 2.875 Å, intensity 100, (6 0 0); 2.227 Å, intensity 8, (6 0 1); 2.033 Å, intensity 17, (6 2 1); 1.764 Å, intensity 4, (0 0 2); 1.659 Å, intensity 25, (9 3 0); 1.503 Å, intensity 15, (6 0 2); 1.436 Å, intensity 7, (12 0 0); 1.285 Å, intensity 6, (9 5 1); 1.208 Å, intensity 7, (9 3 2)